(1)
Structure and computed X-ray powder pattern of CaEuGdSbO6 (DFT lattice parameters and positions (GGA-PBE); Cu Ka).

Peak list (6 most intense, 2θ from 10° to 90°, most intense first)
2θ = 29.1°, I 100; 2θ = 29.2°, I 51; 2θ = 41.7°, I 51; 2θ = 29.4°, I 48; 2θ = 29.9°, I 46; 2θ = 28.6°, I 43

Structure:
a b c (Å): 5.982 6.243 8.672
angles (deg): 90.55 90.17 90.41
Fractional coordinates of all 20 atoms:
Ca 0.021 0.433 0.248
Ca 0.979 0.567 0.752
Eu 0.477 0.932 0.252
Eu 0.523 0.068 0.748
Gd 0.000 0.000 0.500
Gd 0.500 0.500 0.000
Sb 0.000 0.000 0.000
Sb 0.500 0.500 0.500
O 0.107 0.976 0.768
O 0.178 0.716 0.056
O 0.216 0.683 0.443
O 0.285 0.184 0.055
O 0.322 0.216 0.445
O 0.391 0.477 0.733
O 0.609 0.523 0.267
O 0.678 0.784 0.555
O 0.715 0.816 0.945
O 0.784 0.317 0.557
O 0.822 0.284 0.944
O 0.893 0.024 0.232


(2)
Structure and computed X-ray powder pattern of RbTl2Bi (DFT lattice parameters and positions (GGA-PBE); Cu Ka).

Peak list (6 most intense, 2θ from 10° to 90°, most intense first)
2θ = 30.4°, I 100; 2θ = 54.0°, I 41; 2θ = 87.7°, I 22; 2θ = 43.5°, I 19; 2θ = 71.7°, I 18; 2θ = 63.2°, I 13

Structure:
a b c (Å): 5.886 5.886 5.886
angles (deg): 60.00 60.00 60.00
Fractional coordinates of all 4 atoms:
Rb 0.000 0.000 0.000
Tl 0.250 0.250 0.250
Tl 0.750 0.750 0.750
Bi 0.500 0.500 0.500


(3)
Structure and computed X-ray powder pattern of PrAlH6 (DFT lattice parameters and positions (GGA-PBE); Cu Ka).

Peak list (6 most intense, 2θ from 10° to 90°, most intense first)
2θ = 27.5°, I 100; 2θ = 21.3°, I 83; 2θ = 32.9°, I 62; 2θ = 52.2°, I 35; 2θ = 43.4°, I 28; 2θ = 45.2°, I 26

Structure:
a b c (Å): 4.278 4.278 4.278
angles (deg): 98.44 98.44 98.44
Fractional coordinates of all 8 atoms:
Pr 0.000 0.000 0.000
Al 0.500 0.500 0.500
H 0.204 0.204 0.561
H 0.204 0.561 0.204
H 0.439 0.796 0.796
H 0.561 0.204 0.204
H 0.796 0.439 0.796
H 0.796 0.796 0.439


(4)
Structure and computed X-ray powder pattern of U5Ge3 (DFT lattice parameters and positions (GGA-PBE); Cu Ka).

Peak list (6 most intense, 2θ from 10° to 90°, most intense first)
2θ = 36.0°, I 100; 2θ = 39.1°, I 63; 2θ = 32.0°, I 51; 2θ = 36.4°, I 34; 2θ = 35.0°, I 33; 2θ = 54.5°, I 24

Structure:
a b c (Å): 8.555 8.555 5.465
angles (deg): 90.00 90.00 120.00
Fractional coordinates of all 16 atoms:
U 0.000 0.234 0.250
U 0.000 0.766 0.750
U 0.234 0.000 0.250
U 0.234 0.234 0.750
U 0.333 0.667 0.000
U 0.333 0.667 0.500
U 0.667 0.333 0.000
U 0.667 0.333 0.500
U 0.766 0.000 0.750
U 0.766 0.766 0.250
Ge 0.000 0.393 0.750
Ge 0.000 0.607 0.250
Ge 0.393 0.000 0.750
Ge 0.393 0.393 0.250
Ge 0.607 0.000 0.250
Ge 0.607 0.607 0.750


(5)
Structure and computed X-ray powder pattern of Zr4AlNi2 (DFT lattice parameters and positions (GGA-PBE); Cu Ka).

Peak list (6 most intense, 2θ from 10° to 90°, most intense first)
2θ = 38.5°, I 100; 2θ = 35.3°, I 45; 2θ = 11.6°, I 40; 2θ = 69.6°, I 25; 2θ = 33.2°, I 24; 2θ = 43.3°, I 19

Structure:
a b c (Å): 9.354 9.354 9.354
angles (deg): 60.00 60.00 60.00
Fractional coordinates of all 28 atoms:
Zr 0.000 0.000 0.000
Zr 0.000 0.000 0.500
Zr 0.000 0.500 0.000
Zr 0.143 0.143 0.607
Zr 0.143 0.607 0.143
Zr 0.143 0.607 0.607
Zr 0.393 0.393 0.857
Zr 0.393 0.857 0.393
Zr 0.393 0.857 0.857
Zr 0.500 0.000 0.000
Zr 0.607 0.143 0.143
Zr 0.607 0.143 0.607
Zr 0.607 0.607 0.143
Zr 0.857 0.393 0.393
Zr 0.857 0.393 0.857
Zr 0.857 0.857 0.393
Al 0.000 0.500 0.500
Al 0.500 0.000 0.500
Al 0.500 0.500 0.000
Al 0.500 0.500 0.500
Ni 0.092 0.803 0.803
Ni 0.197 0.197 0.197
Ni 0.197 0.197 0.908
Ni 0.197 0.908 0.197
Ni 0.803 0.092 0.803
Ni 0.803 0.803 0.092
Ni 0.803 0.803 0.803
Ni 0.908 0.197 0.197


(6)
Structure and computed X-ray powder pattern of UIn3 (DFT lattice parameters and positions (GGA-PBE); Cu Ka).

Peak list (6 most intense, 2θ from 10° to 90°, most intense first)
2θ = 33.3°, I 100; 2θ = 38.7°, I 50; 2θ = 66.6°, I 40; 2θ = 55.9°, I 34; 2θ = 70.0°, I 12; 2θ = 19.1°, I 10

Structure:
a b c (Å): 4.655 4.655 4.655
angles (deg): 90.00 90.00 90.00
Fractional coordinates of all 4 atoms:
U 0.000 0.000 0.000
In 0.000 0.500 0.500
In 0.500 0.000 0.500
In 0.500 0.500 0.000